Entry 1:
Theoretical powder diffraction line list of Si for Cu Kα (λ = 1.5418 Å), from DFT lattice parameters and positions (GGA-PBE).
Lines closer than 0.1° are merged.

Main lines, low angle first (2θ = 5–70°):
4.727 Å, 2θ = 18.77°, rel. 12, hkl 1 1 0; 3.343 Å, 2θ = 26.67°, rel. 100, hkl 2 0 0; 2.364 Å, 2θ = 38.07°, rel. 21, hkl 2 2 0; 2.114 Å, 2θ = 42.78°, rel. 12, hkl 3 1 0; 1.930 Å, 2θ = 47.09°, rel. 59, hkl 0 0 2; 1.787 Å, 2θ = 51.11°, rel. 1, hkl 1 1 2; 1.671 Å, 2θ = 54.93°, rel. 35, hkl 2 0 2; 1.576 Å, 2θ = 58.59°, rel. 11, hkl 3 3 0; 1.495 Å, 2θ = 62.08°, rel. 4, hkl 2 2 2; 1.425 Å, 2θ = 65.48°, rel. 6, hkl 3 1 2

Structure:
```
data_Si
_symmetry_space_group_name_H-M 'I 4/m m m'
_symmetry_Int_Tables_number 139
_symmetry_space_group_name_Hall '-I 4 2'
_cell_length_a 6.6847
_cell_length_b 6.6847
_cell_length_c 3.8608
_cell_angle_alpha 90.00
_cell_angle_beta 90.00
_cell_angle_gamma 90.00
loop_
_atom_site_label
_atom_site_fract_x
_atom_site_fract_y
_atom_site_fract_z
_atom_site_occupancy
Si1 0.1787 0.1787 0.0000 1
```

Entry 2:
Theoretical powder diffraction line list of Tm2PuRhO8 for Cu Kα (λ = 1.5418 Å), from DFT lattice parameters and positions (GGA-PBE).
Lines closer than 0.1° are merged.

Main lines, low angle first (2θ = 5–70°):
3.970 Å, 2θ = 22.39°, rel. 13, hkl 1 1 1; 3.576 Å, 2θ = 24.90°, rel. 62, hkl 0 2 0; 3.460 Å, 2θ = 25.74°, rel. 54, hkl 2 0 0; 2.747 Å, 2θ = 32.59°, rel. 100, hkl 1 1 2; 2.487 Å, 2θ = 36.12°, rel. 32, hkl 2 2 0; 1.861 Å, 2θ = 48.96°, rel. 42, hkl 1 3 2; 1.827 Å, 2θ = 49.91°, rel. 37, hkl 3 1 2; 1.648 Å, 2θ = 55.79°, rel. 10, hkl 0 0 4; 1.481 Å, 2θ = 62.74°, rel. 23, hkl 3 3 2; 1.374 Å, 2θ = 68.28°, rel. 11, hkl 2 2 4

Structure:
```
data_Tm2PuRhO8
_symmetry_space_group_name_H-M 'C m m m'
_symmetry_Int_Tables_number 65
_symmetry_space_group_name_Hall '-C 2 2'
_cell_length_a 6.9209
_cell_length_b 7.1520
_cell_length_c 6.5919
_cell_angle_alpha 90.00
_cell_angle_beta 90.00
_cell_angle_gamma 90.00
loop_
_atom_site_label
_atom_site_fract_x
_atom_site_fract_y
_atom_site_fract_z
_atom_site_occupancy
Tm1 0.0000 0.0000 0.2414 1
Pu1 0.0000 0.5000 0.5000 1
Rh1 0.0000 0.5000 0.0000 1
O1 0.0000 0.3182 0.2480 1
O2 0.2041 0.0000 0.5000 1
O3 0.2138 0.0000 0.0000 1
```